Theoretical powder X-ray diffraction pattern of BaRe3O12 for a wavelength of 1.5418 Å, from a GGA-PBE-relaxed structure.

Top 10 peaks for 15 to 90 degrees two-theta, most intense first:
Position (°2θ)	I (rel.)
21.1	100
25.8	35
16.9	33
32.2	26
33.7	23
38.0	15
40.1	15
53.4	13
48.8	13
59.4	11

Cell and atoms:
abc: 11.741 11.741 11.741
angles: 46.16 46.16 46.16
Fractional positions:
Ba  0.000  0.000  0.000
Ba  0.500  0.500  0.500
Re  0.074  0.392  0.725
Re  0.225  0.892  0.574
Re  0.392  0.725  0.074
Re  0.574  0.225  0.892
Re  0.725  0.074  0.392
Re  0.892  0.574  0.225
O  0.099  0.444  0.120
O  0.120  0.099  0.444
O  0.143  0.246  0.664
O  0.164  0.746  0.643
O  0.171  0.897  0.753
O  0.246  0.664  0.143
O  0.253  0.397  0.671
O  0.315  0.950  0.951
O  0.397  0.671  0.253
O  0.444  0.120  0.099
O  0.450  0.815  0.451
O  0.451  0.450  0.815
O  0.599  0.620  0.944
O  0.620  0.944  0.599
O  0.643  0.164  0.746
O  0.664  0.143  0.246
O  0.671  0.253  0.397
O  0.746  0.643  0.164
O  0.753  0.171  0.897
O  0.815  0.451  0.450
O  0.897  0.753  0.171
O  0.944  0.599  0.620
O  0.950  0.951  0.315
O  0.951  0.315  0.950


Theoretical powder X-ray diffraction pattern of Ba3Re2O9 for a wavelength of 1.5418 Å, from a GGA-PBE-relaxed structure.

Top 10 peaks for 15 to 90 degrees two-theta, most intense first:
Position (°2θ)	I (rel.)
27.6	100
31.0	77
42.0	46
53.1	32
46.7	20
66.4	16
55.1	16
64.6	14
71.6	14
57.1	12

Cell and atoms:
abc: 7.793 7.793 7.793
angles: 43.48 43.48 43.48
Fractional positions:
Ba  0.000  0.000  0.000
Ba  0.211  0.211  0.211
Ba  0.789  0.789  0.789
Re  0.391  0.391  0.391
Re  0.609  0.609  0.609
O  0.000  0.500  0.500
O  0.247  0.721  0.721
O  0.279  0.279  0.753
O  0.279  0.753  0.279
O  0.500  0.000  0.500
O  0.500  0.500  0.000
O  0.721  0.247  0.721
O  0.721  0.721  0.247
O  0.753  0.279  0.279


Theoretical powder X-ray diffraction pattern of Ba10Re3O22 for a wavelength of 1.5418 Å, from a GGA-PBE-relaxed structure.

Top 10 peaks for 15 to 90 degrees two-theta, most intense first:
Position (°2θ)	I (rel.)
27.7	100
30.6	90
27.3	47
31.1	38
52.7	25
20.1	24
27.2	23
50.3	23
45.5	21
17.9	21

Cell and atoms:
abc: 10.594 10.594 10.166
angles: 93.75 93.75 31.96
Fractional positions:
Ba  0.067  0.067  0.166
Ba  0.093  0.093  0.585
Ba  0.210  0.210  0.911
Ba  0.325  0.325  0.607
Ba  0.430  0.430  0.156
Ba  0.570  0.570  0.844
Ba  0.675  0.675  0.393
Ba  0.790  0.790  0.089
Ba  0.907  0.907  0.415
Ba  0.933  0.933  0.834
Re  0.239  0.239  0.262
Re  0.500  0.500  0.500
Re  0.761  0.761  0.738
O  0.036  0.587  0.844
O  0.047  0.522  0.351
O  0.077  0.077  0.863
O  0.170  0.170  0.378
O  0.243  0.708  0.620
O  0.292  0.757  0.380
O  0.300  0.300  0.125
O  0.413  0.413  0.419
O  0.413  0.964  0.156
O  0.454  0.454  0.912
O  0.478  0.953  0.649
O  0.522  0.047  0.351
O  0.546  0.546  0.088
O  0.587  0.036  0.844
O  0.587  0.587  0.581
O  0.700  0.700  0.875
O  0.708  0.243  0.620
O  0.757  0.292  0.380
O  0.830  0.830  0.622
O  0.923  0.923  0.137
O  0.953  0.478  0.649
O  0.964  0.413  0.156


Theoretical powder X-ray diffraction pattern of Ba3ReO8 for a wavelength of 1.5418 Å, from a GGA-PBE-relaxed structure.

Top 10 peaks for 15 to 90 degrees two-theta, most intense first:
Position (°2θ)	I (rel.)
26.3	100
43.9	32
51.3	30
30.2	23
43.2	17
52.4	14
70.2	13
54.2	11
31.1	10
79.8	9

Cell and atoms:
abc: 7.119 7.119 7.119
angles: 130.88 130.88 72.00
Fractional positions:
Ba  0.000  0.000  0.000
Ba  0.250  0.750  0.500
Ba  0.750  0.250  0.500
Re  0.500  0.500  0.000
O  0.199  0.199  0.603
O  0.199  0.597  0.000
O  0.403  0.403  0.603
O  0.403  0.801  0.000
O  0.597  0.199  0.000
O  0.597  0.597  0.397
O  0.801  0.403  0.000
O  0.801  0.801  0.397


Theoretical powder X-ray diffraction pattern of BaScReO6 for a wavelength of 1.5418 Å, from a GGA-PBE-relaxed structure.

Top 10 peaks for 15 to 90 degrees two-theta, most intense first:
Position (°2θ)	I (rel.)
24.6	100
46.3	36
33.2	29
54.3	22
41.7	21
19.0	19
15.5	12
36.9	11
51.9	11
73.1	9

Cell and atoms:
abc: 5.401 5.401 5.705
angles: 90.00 90.00 120.00
Fractional positions:
Ba  0.000  0.000  0.000
Sc  0.667  0.333  0.500
Re  0.333  0.667  0.500
O  0.028  0.401  0.307
O  0.028  0.626  0.693
O  0.374  0.401  0.693
O  0.374  0.972  0.307
O  0.599  0.626  0.307
O  0.599  0.972  0.693


Theoretical powder X-ray diffraction pattern of BaSmReO6 for a wavelength of 1.5418 Å, from a GGA-PBE-relaxed structure.

Top 10 peaks for 15 to 90 degrees two-theta, most intense first:
Position (°2θ)	I (rel.)
24.0	100
31.3	49
45.4	48
15.9	26
51.5	24
39.8	24
35.3	16
55.7	14
32.1	13
65.7	12

Cell and atoms:
abc: 5.720 5.720 5.572
angles: 90.00 90.00 120.00
Fractional positions:
Ba  0.000  0.000  0.000
Sm  0.333  0.667  0.500
Re  0.667  0.333  0.500
O  0.402  0.052  0.697
O  0.402  0.350  0.303
O  0.650  0.052  0.303
O  0.650  0.598  0.697
O  0.948  0.350  0.697
O  0.948  0.598  0.303